Diffraction record for Dy2HoIr2. The X-ray powder pattern is simulated, not measured: it uses a structure optimized by DFT (PBE) and λ = 1.5418 Å (Cu Kα).
Kinematic intensities with the Lorentz-polarization factor, no thermal factor.

Most intense lines, 15° ≤ 2θ ≤ 90°, most intense first:
- 37.3 deg, rel. 100
- 37.5 deg, rel. 49
- 67.6 deg, rel. 36
- 67.1 deg, rel. 18
- 54.1 deg, rel. 17
- 20.4 deg, rel. 15
- 25.4 deg, rel. 12
- 79.5 deg, rel. 11
- 53.4 deg, rel. 9
- 45.9 deg, rel. 5

Structure:
```
data_Dy2HoIr2
_space_group_name_H-M_alt 'P m m n'
_space_group_IT_number 59
_cell_length_a 4.7891
_cell_length_b 4.7956
_cell_length_c 10.3006
_cell_angle_alpha 90.00
_cell_angle_beta 90.00
_cell_angle_gamma 90.00
loop_
_space_group_symop_operation_xyz
'x,y,z'
'-x,-y,-z'
'-x+1/2,-y+1/2,z'
'x+1/2,y+1/2,-z'
'x+1/2,-y,-z'
'-x+1/2,y,z'
'-x,y+1/2,-z'
'x,-y+1/2,z'
loop_
_atom_site_label
_atom_site_fract_x
_atom_site_fract_y
_atom_site_fract_z
Dy1 0.2500 0.2500 0.9996
Dy2 0.2500 0.2500 0.3333
Ho1 0.2500 0.2500 0.6656
Ir1 0.2500 0.7500 0.1618
Ir2 0.2500 0.7500 0.5050
```

=====

Diffraction record for Pm6HoSc2. The X-ray powder pattern is simulated, not measured: it uses a structure optimized by DFT (PBE) and λ = 1.5418 Å (Cu Kα).
Kinematic intensities with the Lorentz-polarization factor, no thermal factor.

Most intense lines, 15° ≤ 2θ ≤ 90°, most intense first:
- 31.8 deg, rel. 100
- 33.1 deg, rel. 37
- 32.6 deg, rel. 28
- 62.1 deg, rel. 20
- 29.8 deg, rel. 19
- 48.5 deg, rel. 16
- 27.4 deg, rel. 11
- 51.8 deg, rel. 9
- 62.6 deg, rel. 9
- 38.5 deg, rel. 9

Structure:
```
data_Pm6HoSc2
_space_group_name_H-M_alt 'P 1 2/m 1'
_space_group_IT_number 10
_cell_length_a 8.6586
_cell_length_b 3.5297
_cell_length_c 9.5887
_cell_angle_alpha 90.00
_cell_angle_beta 102.38
_cell_angle_gamma 90.00
loop_
_space_group_symop_operation_xyz
'x,y,z'
'-x,-y,-z'
'-x,y,-z'
'x,-y,z'
loop_
_atom_site_label
_atom_site_fract_x
_atom_site_fract_y
_atom_site_fract_z
Pm1 0.0177 0.0000 0.1844
Pm2 0.3163 0.5000 0.0225
Pm3 0.3464 0.5000 0.3829
Ho1 0.0000 0.5000 0.5000
Sc1 0.3394 0.0000 0.7058
```

=====

Diffraction record for ZnGa6Rh2. The X-ray powder pattern is simulated, not measured: it uses a structure optimized by DFT (PBE) and λ = 1.5418 Å (Cu Kα).
Kinematic intensities with the Lorentz-polarization factor, no thermal factor.

Most intense lines, 15° ≤ 2θ ≤ 90°, most intense first:
- 44.4 deg, rel. 100
- 35.2 deg, rel. 97
- 37.6 deg, rel. 85
- 40.2 deg, rel. 68
- 46.6 deg, rel. 66
- 34.1 deg, rel. 65
- 45.0 deg, rel. 54
- 48.9 deg, rel. 44
- 31.0 deg, rel. 43
- 22.1 deg, rel. 36

Structure:
```
data_ZnGa6Rh2
_space_group_name_H-M_alt 'P 1 21/c 1'
_space_group_IT_number 14
_cell_length_a 6.3910
_cell_length_b 6.4719
_cell_length_c 9.1053
_cell_angle_alpha 90.00
_cell_angle_beta 126.32
_cell_angle_gamma 90.00
loop_
_space_group_symop_operation_xyz
'x,y,z'
'-x,-y,-z'
'-x,y+1/2,-z+1/2'
'x,-y+1/2,z+1/2'
loop_
_atom_site_label
_atom_site_fract_x
_atom_site_fract_y
_atom_site_fract_z
Zn1 0.0000 0.0000 0.0000
Ga1 0.0816 0.1271 0.4199
Ga2 0.3154 0.6723 0.4378
Ga3 0.4582 0.5123 0.7880
Rh1 0.2161 0.1815 0.7467
```